# Na2PrO3
Theoretical powder XRD pattern, Cu Ka. Input: a crystal structure in Alexandria, relaxed with GGA-PBE.
No peak broadening, texture or thermal motion is included.

The 12 most intense peaks (10° ≤ 2θ ≤ 90°), by angle:
index, Position (°2θ), I_rel
1 1 -1, 16.01, 97.2
0 0 2, 16.52, 13.4
0 2 1, 19.60, 22.1
1 1 -3, 25.93, 30.9
1 3 0, 30.00, 17.1
0 2 3, 30.73, 34.9
2 2 -1, 31.21, 33.9
1 1 3, 33.13, 13.5
2 0 2, 35.92, 100.0
2 4 2, 51.72, 42.9
4 0 -2, 52.33, 12.7
4 4 -2, 65.12, 11.6

Atomic structure:
a = 6.9958 Å, b = 9.9930 Å, c = 11.2870 Å
α = 90.00°, β = 107.99°, γ = 90.00°
Space group C2/c (No. 15)
Unique sites:
Na 0.0778 0.1247 0.4060 x8
Na 0.2456 0.1249 0.7414 x8
Pr 0.0824 0.3748 0.9151 x8
O 0.0869 0.3901 0.4289 x8
O 0.0928 0.1399 0.9288 x8
O 0.2288 0.3749 0.7500 x8

=====

# Na2PrO3
Theoretical powder XRD pattern, Cu Ka. Input: a crystal structure in Alexandria, relaxed with GGA-PBE.
No peak broadening, texture or thermal motion is included.

The 12 most intense peaks (10° ≤ 2θ ≤ 90°), by angle:
index, Position (°2θ), I_rel
0 0 2, 15.71, 67.6
1 1 0, 16.74, 20.9
0 2 1, 18.31, 18.7
2 0 0, 29.32, 39.7
1 3 1, 30.75, 52.1
0 0 4, 31.72, 16.2
2 0 2, 35.94, 100.0
1 3 3, 39.44, 15.9
0 6 0, 51.09, 34.3
1 3 5, 52.38, 30.9
3 3 -3, 53.79, 16.7
2 6 2, 64.04, 17.1

Atomic structure:
a = 6.1922 Å, b = 10.7290 Å, c = 11.4739 Å
α = 90.00°, β = 100.48°, γ = 90.00°
Space group C2/c (No. 15)
Unique sites:
Na 0.0000 0.0844 0.2500 x4
Na 0.2363 0.0782 0.9997 x8
Na 0.2500 0.2500 0.5000 x4
Pr 0.0000 0.2485 0.7500 x4
Pr 0.0000 0.4173 0.2500 x4
O 0.1040 0.4166 0.6352 x8
O 0.1382 0.0948 0.6326 x8
O 0.1385 0.2631 0.1345 x8

=====

# Na3Pr2PuO6
Theoretical powder XRD pattern, Cu Ka. Input: a crystal structure in Alexandria, relaxed with GGA-PBE.
No peak broadening, texture or thermal motion is included.

The 12 most intense peaks (10° ≤ 2θ ≤ 90°), by angle:
index, Position (°2θ), I_rel
0 0 1, 15.69, 100.0
1 3 0, 29.20, 60.4
2 0 0, 30.62, 67.2
0 0 2, 31.68, 21.2
1 3 1, 35.82, 88.8
1 3 -2, 39.32, 24.6
1 3 2, 47.60, 20.0
3 3 -1, 50.86, 20.9
2 0 2, 52.25, 27.9
3 3 0, 53.55, 25.8
3 3 1, 61.16, 21.2
4 0 0, 63.76, 15.2

Atomic structure:
a = 6.2174 Å, b = 10.7772 Å, c = 6.0149 Å
α = 90.00°, β = 110.07°, γ = 90.00°
Space group C2/m (No. 12)
Unique sites:
Na 0.0000 0.0000 0.0000 x2
Na 0.0000 0.3388 0.0000 x4
Pr 0.0000 0.1669 0.5000 x4
Pu 0.0000 0.5000 0.5000 x2
O 0.2348 0.3376 0.7178 x8
O 0.2470 0.0000 0.7168 x4

=====

# NaPrRu2O8
Theoretical powder XRD pattern, Cu Ka. Input: a crystal structure in Alexandria, relaxed with GGA-PBE.
No peak broadening, texture or thermal motion is included.

The 12 most intense peaks (10° ≤ 2θ ≤ 90°), by angle:
index, Position (°2θ), I_rel
0 0 2, 14.99, 11.3
1 0 1, 18.23, 18.4
1 1 0, 23.56, 7.4
1 1 2, 28.05, 100.0
0 0 4, 30.25, 13.8
2 0 0, 33.57, 18.5
2 0 4, 45.81, 30.6
2 2 0, 48.20, 12.7
1 1 6, 52.40, 16.8
1 3 2, 56.70, 27.3
2 2 4, 57.97, 11.7
3 1 6, 73.94, 12.4

Atomic structure:
a = 5.3397 Å, b = 5.3397 Å, c = 11.8175 Å
α = 90.00°, β = 90.00°, γ = 90.00°
Space group I-4 (No. 82)
Unique sites:
Na 0.0000 0.0000 0.0000 x2
Pr 0.0000 0.5000 0.2500 x2
Ru 0.0000 0.0000 0.5000 x2
Ru 0.0000 0.5000 0.7500 x2
O 0.1401 0.2434 0.4155 x8
O 0.1492 0.7459 0.8298 x8

=====

# NaPrSnO4
Theoretical powder XRD pattern, Cu Ka. Input: a crystal structure in Alexandria, relaxed with GGA-PBE.
No peak broadening, texture or thermal motion is included.

The 12 most intense peaks (10° ≤ 2θ ≤ 90°), by angle:
index, Position (°2θ), I_rel
0 0 2, 14.27, 49.6
1 0 1, 23.13, 38.2
1 0 3, 30.91, 100.0
1 1 0, 31.28, 64.4
1 1 2, 34.53, 11.2
1 0 5, 42.73, 18.1
0 0 6, 43.74, 15.8
2 0 0, 44.82, 35.2
1 1 6, 54.75, 26.2
2 1 3, 55.44, 40.8
2 1 5, 63.65, 11.1
2 0 6, 64.42, 19.0

Atomic structure:
a = 4.0441 Å, b = 4.0441 Å, c = 12.4169 Å
α = 90.00°, β = 90.00°, γ = 90.00°
Space group I4mm (No. 107)
Unique sites:
Na 0.0000 0.0000 0.0000 x2
Pr 0.0000 0.0000 0.6980 x2
Sn 0.0000 0.0000 0.3539 x2
O 0.0000 0.0000 0.1808 x2
O 0.0000 0.0000 0.5164 x2
O 0.0000 0.5000 0.3298 x4